# AcSm3Te4
Simulated PXRD pattern, Cu Kα. Input: DFT lattice parameters and positions (PBE).

Peak list (6 most intense, 5° ≤ 2θ ≤ 70°, sorted by position)
- d = 3.255 Å, intensity 96.6
- d = 3.069 Å, intensity 100.0
- d = 2.250 Å, intensity 45.1
- d = 2.222 Å, intensity 78.7
- d = 1.800 Å, intensity 21.7
- d = 1.447 Å, intensity 30.7

Crystal structure
Cell lengths 4.4438, 4.4438, 30.5162 Å; angles 90.00, 90.00, 120.00 degrees
Space group P6_3/mmc (No. 194)
Symmetry-distinct sites (fractional):
Ac  0.3333  0.6667  0.2500 [2 per cell]
Sm  0.0000  0.0000  0.0000 [2 per cell]
Sm  0.3333  0.6667  0.6188 [4 per cell]
Te  0.0000  0.0000  0.1791 [4 per cell]
Te  0.3333  0.6667  0.0596 [4 per cell]